# 1
# CeNiHg
Computed powder diffractogram, Cu Kα. Input: a cell relaxed with GGA-PBE.
Neutral-atom scattering factors, no anomalous dispersion.

Cell and atoms:
a b c (Å): 4.783 4.700 5.929
angles (deg): 90.00 113.75 90.00
Element x y z (fractional)
Ce1 0.105 0.250 0.209
Ce2 0.895 0.750 0.791
Ni1 0.222 0.750 0.445
Ni2 0.778 0.250 0.555
Hg1 0.396 0.250 0.792
Hg2 0.604 0.750 0.208

The 8 most intense peaks (2θ from 15° to 90°), in order of falling intensity:
36.54°, d = 2.459 Å, I = 100
27.86°, d = 3.203 Å, I = 30
37.61°, d = 2.391 Å, I = 28
38.30°, d = 2.350 Å, I = 26
54.77°, d = 1.676 Å, I = 19
67.19°, d = 1.393 Å, I = 17
68.11°, d = 1.377 Å, I = 16
33.01°, d = 2.713 Å, I = 14

# 2
# Rb2CeHgO4
Computed powder diffractogram, Cu Kα. Input: a cell relaxed with GGA-PBE.
Neutral-atom scattering factors, no anomalous dispersion.

Cell and atoms:
a b c (Å): 6.500 3.556 7.030
angles (deg): 90.00 112.60 90.00
Element x y z (fractional)
Rb1 0.000 0.000 0.000
Rb2 0.500 0.500 0.000
Ce1 0.000 0.500 0.500
Hg1 0.500 0.000 0.500
O1 0.180 0.000 0.699
O2 0.253 0.500 0.335
O3 0.747 0.500 0.665
O4 0.820 0.000 0.301

The 8 most intense peaks (2θ from 15° to 90°), in order of falling intensity:
29.76°, d = 3.003 Å, I = 100
34.78°, d = 2.579 Å, I = 69
27.49°, d = 3.244 Å, I = 49
31.91°, d = 2.805 Å, I = 43
46.42°, d = 1.956 Å, I = 28
49.37°, d = 1.846 Å, I = 25
59.29°, d = 1.559 Å, I = 23
56.73°, d = 1.623 Å, I = 21

# 3
# Ce8HgOs2
Computed powder diffractogram, Cu Kα. Input: a cell relaxed with GGA-PBE.
Neutral-atom scattering factors, no anomalous dispersion.

Cell and atoms:
a b c (Å): 9.072 9.072 5.336
angles (deg): 105.44 105.44 41.86
Element x y z (fractional)
Ce1 0.000 0.000 0.000
Ce2 0.211 0.613 0.416
Ce3 0.332 0.116 0.206
Ce4 0.387 0.789 0.584
Ce5 0.499 0.133 0.835
Ce6 0.791 0.209 0.500
Ce7 0.867 0.501 0.165
Ce8 0.884 0.668 0.794
Hg1 0.493 0.507 0.000
Os1 0.090 0.228 0.636
Os2 0.772 0.910 0.364

The 8 most intense peaks (2θ from 15° to 90°), in order of falling intensity:
33.61°, d = 2.667 Å, I = 100
36.19°, d = 2.482 Å, I = 61
32.71°, d = 2.737 Å, I = 60
36.68°, d = 2.450 Å, I = 58
21.38°, d = 4.156 Å, I = 32
31.80°, d = 2.814 Å, I = 31
32.89°, d = 2.723 Å, I = 30
30.78°, d = 2.904 Å, I = 28

# 4
# Ce6HgOs
Computed powder diffractogram, Cu Kα. Input: a cell relaxed with GGA-PBE.
Neutral-atom scattering factors, no anomalous dispersion.

Cell and atoms:
a b c (Å): 6.177 6.177 6.289
angles (deg): 100.99 100.99 101.41
Element x y z (fractional)
Ce1 0.085 0.672 0.692
Ce2 0.316 0.316 0.902
Ce3 0.328 0.915 0.308
Ce4 0.672 0.085 0.692
Ce5 0.684 0.684 0.098
Ce6 0.915 0.328 0.308
Hg1 0.500 0.500 0.500
Os1 0.000 0.000 0.000

The 8 most intense peaks (2θ from 15° to 90°), in order of falling intensity:
35.33°, d = 2.540 Å, I = 100
35.65°, d = 2.518 Å, I = 92
37.40°, d = 2.404 Å, I = 90
30.51°, d = 2.930 Å, I = 88
35.93°, d = 2.500 Å, I = 86
23.81°, d = 3.737 Å, I = 68
31.84°, d = 2.811 Å, I = 63
37.63°, d = 2.390 Å, I = 51

# 5
# CeSmHgOs
Computed powder diffractogram, Cu Kα. Input: a cell relaxed with GGA-PBE.
Neutral-atom scattering factors, no anomalous dispersion.

Cell and atoms:
a b c (Å): 3.397 3.397 8.363
angles (deg): 90.00 90.00 90.00
Element x y z (fractional)
Ce1 0.000 0.000 0.000
Sm1 0.000 0.000 0.421
Hg1 0.500 0.500 0.705
Os1 0.500 0.500 0.203

The 8 most intense peaks (2θ from 15° to 90°), in order of falling intensity:
34.00°, d = 2.637 Å, I = 100
37.44°, d = 2.402 Å, I = 43
65.36°, d = 1.428 Å, I = 31
58.53°, d = 1.577 Å, I = 15
53.99°, d = 1.698 Å, I = 15
43.27°, d = 2.091 Å, I = 9
71.57°, d = 1.318 Å, I = 9
89.72°, d = 1.093 Å, I = 7

# 6
# Ce5ZnHgOs2
Computed powder diffractogram, Cu Kα. Input: a cell relaxed with GGA-PBE.
Neutral-atom scattering factors, no anomalous dispersion.

Cell and atoms:
a b c (Å): 9.210 9.210 9.210
angles (deg): 129.92 129.92 73.54
Element x y z (fractional)
Ce1 0.000 0.000 0.000
Ce2 0.083 0.583 0.915
Ce3 0.168 0.083 0.500
Ce4 0.332 0.832 0.915
Ce5 0.417 0.332 0.500
Ce6 0.500 0.500 0.000
Ce7 0.583 0.668 0.500
Ce8 0.668 0.168 0.085
Ce9 0.832 0.917 0.500
Ce10 0.917 0.417 0.085
Zn1 0.250 0.750 0.500
Zn2 0.750 0.250 0.500
Hg1 0.250 0.250 0.000
Hg2 0.750 0.750 0.000
Os1 0.119 0.381 0.500
Os2 0.381 0.881 0.262
Os3 0.619 0.119 0.738
Os4 0.881 0.619 0.500

The 8 most intense peaks (2θ from 15° to 90°), in order of falling intensity:
33.44°, d = 2.679 Å, I = 100
31.45°, d = 2.845 Å, I = 55
32.48°, d = 2.757 Å, I = 44
40.03°, d = 2.253 Å, I = 29
36.44°, d = 2.465 Å, I = 29
42.24°, d = 2.140 Å, I = 23
58.56°, d = 1.576 Å, I = 18
49.41°, d = 1.844 Å, I = 18

# 7
# CeHgP2Rh5
Computed powder diffractogram, Cu Kα. Input: a cell relaxed with GGA-PBE.
Neutral-atom scattering factors, no anomalous dispersion.

Cell and atoms:
a b c (Å): 4.016 4.016 10.508
angles (deg): 90.00 90.00 90.00
Element x y z (fractional)
Ce1 0.000 0.000 0.000
Hg1 0.000 0.000 0.500
P1 0.500 0.500 0.217
P2 0.500 0.500 0.783
Rh1 0.000 0.500 0.314
Rh2 0.000 0.500 0.686
Rh3 0.500 0.000 0.314
Rh4 0.500 0.000 0.686
Rh5 0.500 0.500 0.000

The 8 most intense peaks (2θ from 15° to 90°), in order of falling intensity:
35.95°, d = 2.498 Å, I = 100
45.15°, d = 2.008 Å, I = 48
27.96°, d = 3.191 Å, I = 35
47.13°, d = 1.928 Å, I = 25
40.91°, d = 2.206 Å, I = 22
25.43°, d = 3.503 Å, I = 22
77.29°, d = 1.234 Å, I = 21
23.72°, d = 3.751 Å, I = 20

# 8
# CePaHgPd
Computed powder diffractogram, Cu Kα. Input: a cell relaxed with GGA-PBE.
Neutral-atom scattering factors, no anomalous dispersion.

Cell and atoms:
a b c (Å): 5.166 5.166 5.166
angles (deg): 60.00 60.00 60.00
Element x y z (fractional)
Ce1 0.000 0.000 0.000
Pa1 0.500 0.500 0.500
Hg1 0.750 0.750 0.750
Pd1 0.250 0.250 0.250

The 8 most intense peaks (2θ from 15° to 90°), in order of falling intensity:
34.73°, d = 2.583 Å, I = 100
62.26°, d = 1.491 Å, I = 38
49.93°, d = 1.826 Å, I = 18
83.73°, d = 1.155 Å, I = 17
73.30°, d = 1.291 Å, I = 12
21.06°, d = 4.218 Å, I = 8
40.97°, d = 2.203 Å, I = 5
54.77°, d = 1.676 Å, I = 2